No. 1
# Cu6Pd2Au
Computed X-ray diffraction stick pattern, a wavelength of 1.5418 Å. Input: the PBE geometry in Alexandria.

Structure:
a = 4.9159 Å, b = 7.3989 Å, c = 6.8810 Å
α = 90.00°, β = 100.02°, γ = 90.00°
Fractional coordinates of all 18 atoms:
Cu: 0.0016 0.1654 0.0064
Cu: 0.0016 0.3346 0.5064
Cu: 0.1572 0.0084 0.6621
Cu: 0.1572 0.4916 0.1621
Cu: 0.3074 0.6807 0.8177
Cu: 0.3074 0.8193 0.3177
Cu: 0.6926 0.1807 0.6823
Cu: 0.6926 0.3193 0.1823
Cu: 0.8428 0.5084 0.8379
Cu: 0.8428 0.9916 0.3379
Cu: 0.9984 0.6654 0.4936
Cu: 0.9984 0.8346 0.9936
Pd: 0.3390 0.1549 0.3466
Pd: 0.3390 0.3451 0.8466
Pd: 0.6610 0.6549 0.1534
Pd: 0.6610 0.8451 0.6534
Au: 0.5000 0.0000 0.0000
Au: 0.5000 0.5000 0.5000

The 12 most intense peaks (5° ≤ 2θ ≤ 70°), low angle first:
2θ 17.7, 4.997 Å, I = 13; 2θ 18.3, 4.841 Å, I = 13; 2θ 27.2, 3.273 Å, I = 12; 2θ 29.4, 3.035 Å, I = 7; 2θ 41.8, 2.160 Å, I = 52; 2θ 41.9, 2.155 Å, I = 52; 2θ 42.2, 2.141 Å, I = 100; 2θ 42.8, 2.112 Å, I = 46; 2θ 43.6, 2.076 Å, I = 46; 2θ 60.1, 1.540 Å, I = 17; 2θ 61.8, 1.502 Å, I = 16; 2θ 62.8, 1.479 Å, I = 14

---

No. 2
# Cu2Pd3Au
Computed X-ray diffraction stick pattern, a wavelength of 1.5418 Å. Input: the PBE geometry in Alexandria.

Structure:
a = 2.9439 Å, b = 2.9439 Å, c = 10.2083 Å
α = 90.00°, β = 90.00°, γ = 90.00°
Fractional coordinates of all 6 atoms:
Cu: 0.0000 0.0000 0.1545
Cu: 0.0000 0.0000 0.8455
Pd: 0.5000 0.5000 0.0000
Pd: 0.5000 0.5000 0.3088
Pd: 0.5000 0.5000 0.6912
Au: 0.0000 0.0000 0.5000

The 12 most intense peaks (5° ≤ 2θ ≤ 70°), low angle first:
2θ 8.7, 10.208 Å, I = 16; 2θ 17.4, 5.104 Å, I = 4; 2θ 31.6, 2.829 Å, I = 11; 2θ 35.2, 2.551 Å, I = 19; 2θ 40.5, 2.226 Å, I = 100; 2θ 43.5, 2.082 Å, I = 44; 2θ 44.4, 2.041 Å, I = 5; 2θ 47.1, 1.928 Å, I = 2; 2θ 53.9, 1.701 Å, I = 8; 2θ 57.1, 1.613 Å, I = 5; 2θ 63.2, 1.472 Å, I = 15; 2θ 63.9, 1.458 Å, I = 6

---

No. 3
# Cu2PdAu4
Computed X-ray diffraction stick pattern, a wavelength of 1.5418 Å. Input: the PBE geometry in Alexandria.

Structure:
a = 4.3921 Å, b = 4.3921 Å, c = 13.5294 Å
α = 90.00°, β = 90.00°, γ = 115.60°
Fractional coordinates of all 14 atoms:
Cu: 0.1867 0.8133 0.8843
Cu: 0.3133 0.6867 0.3843
Cu: 0.6867 0.3133 0.6157
Cu: 0.8133 0.1867 0.1157
Pd: 0.0000 0.0000 0.5000
Pd: 0.5000 0.5000 0.0000
Au: 0.0152 0.9848 0.7001
Au: 0.1536 0.8464 0.0884
Au: 0.3464 0.6536 0.5884
Au: 0.4848 0.5152 0.2001
Au: 0.5152 0.4848 0.7999
Au: 0.6536 0.3464 0.4116
Au: 0.8464 0.1536 0.9116
Au: 0.9848 0.0152 0.2999

The 12 most intense peaks (5° ≤ 2θ ≤ 70°), low angle first:
2θ 23.9, 3.717 Å, I = 11; 2θ 26.1, 3.418 Å, I = 18; 2θ 27.4, 3.257 Å, I = 19; 2θ 31.2, 2.868 Å, I = 19; 2θ 35.9, 2.502 Å, I = 20; 2θ 38.5, 2.340 Å, I = 53; 2θ 40.4, 2.234 Å, I = 100; 2θ 41.8, 2.162 Å, I = 66; 2θ 46.1, 1.970 Å, I = 11; 2θ 47.2, 1.927 Å, I = 10; 2θ 50.3, 1.813 Å, I = 10; 2θ 53.6, 1.709 Å, I = 12

---

No. 4
# CuPd8Au6
Computed X-ray diffraction stick pattern, a wavelength of 1.5418 Å. Input: the PBE geometry in Alexandria.

Structure:
a = 7.4028 Å, b = 7.4028 Å, c = 5.6340 Å
α = 90.00°, β = 90.00°, γ = 120.00°
Fractional coordinates of all 15 atoms:
Cu: 0.0000 0.0000 0.0000
Pd: 0.9997 0.2736 0.6976
Pd: 0.0014 0.6511 0.4339
Pd: 0.2739 0.0003 0.6976
Pd: 0.3333 0.6667 0.6479
Pd: 0.3489 0.3502 0.4339
Pd: 0.6498 0.9986 0.4339
Pd: 0.6667 0.3333 0.6422
Pd: 0.7264 0.7261 0.6976
Au: 0.9997 0.6297 0.9375
Au: 0.3159 0.0013 0.2066
Au: 0.3703 0.3700 0.9375
Au: 0.6300 0.0003 0.9375
Au: 0.6853 0.6841 0.2066
Au: 0.9987 0.3147 0.2066

The 12 most intense peaks (5° ≤ 2θ ≤ 70°), low angle first:
2θ 24.0, 3.701 Å, I = 27; 2θ 28.9, 3.094 Å, I = 25; 2θ 32.1, 2.786 Å, I = 6; 2θ 37.1, 2.423 Å, I = 14; 2θ 40.2, 2.242 Å, I = 100; 2θ 40.5, 2.226 Å, I = 5; 2θ 42.3, 2.137 Å, I = 65; 2θ 42.7, 2.116 Å, I = 10; 2θ 52.0, 1.758 Å, I = 6; 2θ 59.8, 1.547 Å, I = 23; 2θ 66.4, 1.408 Å, I = 6; 2θ 69.2, 1.358 Å, I = 6